For DyY4Ho6, DFT lattice parameters and positions (GGA-PBE) gives the calculated powder X-ray diffraction pattern in this record (Cu Kα).
Neutral-atom scattering factors, no anomalous dispersion.

Crystal structure
```
DyY4Ho6
1.0
-3.2702 3.2702 8.5515
3.2702 -3.2702 8.5515
3.2702 3.2702 -8.5515
Dy Y Ho
1 4 6
direct
0.0000 0.0000 0.0000
0.1860 0.1860 0.6404
0.4544 0.8140 0.0000
0.5456 0.5456 0.3596
0.8140 0.4544 0.0000
0.0000 0.5000 0.5000
0.0147 0.6447 0.0000
0.3553 0.3553 0.3700
0.5000 0.0000 0.5000
0.6447 0.0147 0.0000
0.9853 0.9853 0.6300
```

Main lines, sorted by position (15° ≤ 2θ ≤ 90°):
2theta	d [Å]	I/Imax
28.43	3.140	44.7
29.24	3.054	91.0
31.02	2.883	95.8
31.38	2.851	52.6
34.52	2.598	100.0
40.58	2.223	43.5


For Dy2Y7Ho2, DFT lattice parameters and positions (GGA-PBE) gives the calculated powder X-ray diffraction pattern in this record (Cu Kα).
Neutral-atom scattering factors, no anomalous dispersion.

Crystal structure
```
Dy2Y7Ho2
1.0
-2.7598 7.9397 4.0746
2.7598 -7.9397 4.0746
2.7598 7.9397 -4.0746
Dy Y Ho
2 7 2
direct
0.2007 0.0000 0.2007
0.7993 0.0000 0.7993
0.0687 0.7080 0.3607
0.2013 0.2013 0.0000
0.3379 0.4987 0.8392
0.3472 0.7080 0.6393
0.6553 0.2926 0.3626
0.6595 0.4987 0.1608
0.9300 0.2926 0.6374
0.4987 0.9987 0.5000
0.7890 0.7890 0.0000
```

Main lines, sorted by position (15° ≤ 2θ ≤ 90°):
2theta	d [Å]	I/Imax
29.81	2.997	30.3
32.12	2.787	100.0
32.47	2.758	48.6
33.87	2.647	13.5
57.67	1.599	18.5
61.88	1.499	11.9